Structure and calculated XRD peak list of UH10C4SN3O9 (a structure optimized by DFT (PBE); a wavelength of 1.5418 Å).

Cell and atoms:
Unit cell a=7.959 b=9.169 c=9.852 alpha=68.79 beta=89.77 gamma=86.35
Positions (direct):
U1 0.202 0.274 0.378
U2 0.798 0.726 0.622
H1 0.105 0.090 0.860
H2 0.122 0.888 0.921
H3 0.205 0.994 0.758
H4 0.208 0.508 0.726
H5 0.291 0.990 0.914
H6 0.331 0.203 0.039
H7 0.377 0.390 0.814
H8 0.383 0.587 0.762
H9 0.389 0.504 0.634
H10 0.484 0.751 0.991
H11 0.516 0.249 0.009
H12 0.611 0.496 0.366
H13 0.617 0.413 0.238
H14 0.623 0.610 0.186
H15 0.669 0.797 0.961
H16 0.709 0.010 0.086
H17 0.792 0.492 0.274
H18 0.795 0.006 0.242
H19 0.878 0.112 0.079
H20 0.895 0.910 0.140
C1 0.060 0.618 0.136
C2 0.153 0.782 0.391
C3 0.233 0.581 0.078
C4 0.449 0.960 0.569
C5 0.551 0.040 0.431
C6 0.767 0.419 0.922
C7 0.847 0.218 0.609
C8 0.940 0.382 0.864
S1 0.319 0.804 0.296
S2 0.681 0.196 0.704
N1 0.028 0.765 0.462
N2 0.179 0.991 0.862
N3 0.340 0.499 0.733
N4 0.660 0.501 0.267
N5 0.821 0.009 0.138
N6 0.972 0.235 0.538
O1 0.009 0.501 0.244
O2 0.016 0.250 0.922
O3 0.111 0.160 0.285
O4 0.290 0.678 0.966
O5 0.304 0.383 0.472
O6 0.304 0.446 0.155
O7 0.309 0.031 0.579
O8 0.420 0.211 0.970
O9 0.487 0.167 0.340
O10 0.513 0.833 0.660
O11 0.580 0.789 0.030
O12 0.691 0.969 0.421
O13 0.696 0.554 0.845
O14 0.696 0.617 0.528
O15 0.710 0.322 0.034
O16 0.889 0.840 0.715
O17 0.984 0.750 0.078
O18 0.991 0.499 0.756

Principal peaks in the range 2θ = 10–90°, sorted by position:
2θ/deg	Rel. int.	h k l
11.32	79	0 1 1
14.73	100	1 1 0
14.90	90	1 0 1
18.33	82	0 1 2
19.50	77	0 2 1
24.94	83	1 2 2